1.
This entry pairs a crystal structure of KLi2NdBr6 with its computed powder diffraction line list. Radiation: CuKα. Structure: a DFT-relaxed cell (GGA-PBE, Alexandria).
Neutral-atom scattering factors, no anomalous dispersion.

Most intense lines, 10° ≤ 2θ ≤ 90°, low angle first:
2θ = 14.6°, intensity 32; 2θ = 16.5°, intensity 25; 2θ = 22.6°, intensity 22; 2θ = 26.7°, intensity 18; 2θ = 27.7°, intensity 100; 2θ = 29.4°, intensity 35; 2θ = 33.3°, intensity 16; 2θ = 36.4°, intensity 49; 2θ = 37.6°, intensity 13; 2θ = 42.6°, intensity 35; 2θ = 47.8°, intensity 24; 2θ = 73.9°, intensity 13

Atomic structure:
```
KLi2NdBr6
1.0
3.678 2.123 6.670
-3.678 2.123 6.670
0.000 -4.247 6.670
K Li Nd Br
1 2 1 6
Direct
0.000 0.000 0.000
0.284 0.284 0.284
0.791 0.791 0.791
0.483 0.483 0.483
0.059 0.633 0.462
0.192 0.545 0.903
0.462 0.059 0.633
0.545 0.903 0.192
0.633 0.462 0.059
0.903 0.192 0.545
```


2.
This entry pairs a crystal structure of PaNbO4F with its computed powder diffraction line list. Radiation: CuKα. Structure: a DFT-relaxed cell (GGA-PBE, Alexandria).
Neutral-atom scattering factors, no anomalous dispersion.

Most intense lines, 10° ≤ 2θ ≤ 90°, low angle first:
2θ = 13.2°, intensity 97; 2θ = 18.1°, intensity 41; 2θ = 18.9°, intensity 93; 2θ = 24.3°, intensity 100; 2θ = 26.5°, intensity 54; 2θ = 28.0°, intensity 98; 2θ = 29.8°, intensity 59; 2θ = 30.9°, intensity 34; 2θ = 34.4°, intensity 45; 2θ = 36.3°, intensity 32; 2θ = 45.1°, intensity 33; 2θ = 51.7°, intensity 33

Atomic structure:
```
PaNbO4F
1.0
4.981 -3.666 0.000
4.981 3.666 0.000
-2.338 0.000 6.686
Pa Nb O F
2 2 8 2
Direct
0.217 0.217 0.104
0.783 0.783 0.896
0.349 0.349 0.712
0.651 0.651 0.288
0.094 0.485 0.845
0.261 0.261 0.437
0.453 0.453 0.214
0.485 0.094 0.845
0.515 0.906 0.155
0.547 0.547 0.786
0.739 0.739 0.563
0.906 0.515 0.155
0.014 0.014 0.832
0.986 0.986 0.168
```


3.
This entry pairs a crystal structure of BaHg2Pb6 with its computed powder diffraction line list. Radiation: CuKα. Structure: a DFT-relaxed cell (GGA-PBE, Alexandria).
Neutral-atom scattering factors, no anomalous dispersion.

Most intense lines, 10° ≤ 2θ ≤ 90°, low angle first:
2θ = 29.0°, intensity 11; 2θ = 29.5°, intensity 100; 2θ = 34.2°, intensity 52; 2θ = 35.5°, intensity 11; 2θ = 35.9°, intensity 58; 2θ = 38.5°, intensity 14; 2θ = 51.6°, intensity 21; 2θ = 53.6°, intensity 26; 2θ = 60.6°, intensity 27; 2θ = 63.4°, intensity 18; 2θ = 66.2°, intensity 12; 2θ = 87.1°, intensity 10

Atomic structure:
```
BaHg2Pb6
1.0
5.006 0.000 0.000
0.000 5.006 0.000
0.000 0.000 11.704
Ba Hg Pb
1 2 6
Direct
0.000 0.000 0.000
0.500 0.500 0.123
0.500 0.500 0.877
0.000 0.000 0.500
0.000 0.500 0.290
0.000 0.500 0.710
0.500 0.000 0.290
0.500 0.000 0.710
0.500 0.500 0.500
```